Diffraction record for Pm2TlWO8. The powder XRD pattern is simulated, not measured: it uses a structure optimized by DFT (GGA+U) and Cu Kα.

Largest 10 diffraction maxima, by angle, 10° ≤ 2θ ≤ 90°:
- hkl 1 -1 0, d 3.586, rel. 95
- hkl 1 1 0, d 3.354, rel. 65
- hkl 0 1 -2, d 3.009, rel. 100
- hkl 0 1 2, d 2.926, rel. 89
- hkl 0 2 0, d 2.456, rel. 21
- hkl 2 0 0, d 2.444, rel. 20
- hkl 1 -2 2, d 1.942, rel. 17
- hkl -1 2 2, d 1.916, rel. 34
- hkl 1 2 2, d 1.823, rel. 19
- hkl 1 -1 4, d 1.654, rel. 23

Crystal structure
Lattice parameters (Å, degrees): 4.901 4.924 7.460 91.60 91.51 93.78
Positions (direct):
1 Pm 0.044 0.043 0.257
2 Pm 0.956 0.957 0.743
3 Tl 0.500 0.500 0.000
4 W 0.500 0.500 0.500
5 O 0.200 0.201 0.981
6 O 0.214 0.217 0.538
7 O 0.274 0.640 0.308
8 O 0.361 0.729 0.691
9 O 0.639 0.271 0.309
10 O 0.726 0.360 0.692
11 O 0.786 0.783 0.462
12 O 0.800 0.799 0.019